1.
Li3Ag5: theoretical powder XRD pattern (Cu Ka), based on a PBE-relaxed structure.
No peak broadening, texture or thermal motion is included.

Crystal structure
Unit cell a=5.590 b=5.590 c=5.590 alpha=109.47 beta=109.47 gamma=109.47
Element x y z (fractional)
1 Li 0.000 0.500 0.500
2 Li 0.500 0.000 0.500
3 Li 0.500 0.500 0.000
4 Ag 0.000 0.000 0.000
5 Ag 0.000 0.000 0.500
6 Ag 0.000 0.500 0.000
7 Ag 0.500 0.000 0.000
8 Ag 0.500 0.500 0.500

Top 8 peaks for 10° ≤ 2θ ≤ 80°, in order of rising 2θ:
- 19.45 deg, I 21.3
- 27.64 deg, I 41.0
- 34.02 deg, I 10.5
- 39.49 deg, I 100.0
- 48.88 deg, I 10.9
- 57.08 deg, I 16.1
- 64.57 deg, I 13.5
- 71.62 deg, I 31.8



2.
Nd8Ru2Pt: theoretical powder XRD pattern (Cu Ka), based on a PBE-relaxed structure.
No peak broadening, texture or thermal motion is included.

Crystal structure
Unit cell a=7.737 b=7.737 c=6.385 alpha=100.93 beta=100.93 gamma=114.09
Element x y z (fractional)
1 Nd 0.000 0.000 0.000
2 Nd 0.010 0.277 0.591
3 Nd 0.152 0.571 0.192
4 Nd 0.277 0.010 0.591
5 Nd 0.440 0.706 0.802
6 Nd 0.571 0.152 0.192
7 Nd 0.706 0.440 0.802
8 Nd 0.716 0.716 0.387
9 Ru 0.046 0.667 0.695
10 Ru 0.667 0.046 0.695
11 Pt 0.357 0.357 0.008

Top 8 peaks for 10° ≤ 2θ ≤ 80°, in order of rising 2θ:
- 29.92 deg, I 100.0
- 31.21 deg, I 60.5
- 31.35 deg, I 77.0
- 32.80 deg, I 77.5
- 32.96 deg, I 67.1
- 33.61 deg, I 50.6
- 35.83 deg, I 57.3
- 37.91 deg, I 66.6



3.
TlCoAgBr4: theoretical powder XRD pattern (Cu Ka), based on a PBE-relaxed structure.
No peak broadening, texture or thermal motion is included.

Crystal structure
Unit cell a=7.213 b=7.213 c=7.213 alpha=119.15 beta=119.15 gamma=91.47
Element x y z (fractional)
1 Tl 0.000 0.000 0.000
2 Co 0.250 0.750 0.500
3 Ag 0.500 0.500 0.000
4 Br 0.185 0.623 0.090
5 Br 0.377 0.467 0.561
6 Br 0.533 0.095 0.910
7 Br 0.905 0.815 0.439

Top 8 peaks for 10° ≤ 2θ ≤ 80°, in order of rising 2θ:
- 14.98 deg, I 28.9
- 17.17 deg, I 28.4
- 24.70 deg, I 100.0
- 28.73 deg, I 20.2
- 30.23 deg, I 25.2
- 34.74 deg, I 29.0
- 43.09 deg, I 32.4
- 43.67 deg, I 35.8



4.
Fe2Ag3Br8: theoretical powder XRD pattern (Cu Ka), based on a PBE-relaxed structure.
No peak broadening, texture or thermal motion is included.

Crystal structure
Unit cell a=7.914 b=7.914 c=7.035 alpha=105.72 beta=105.72 gamma=62.40
Element x y z (fractional)
1 Fe 0.185 0.185 0.134
2 Fe 0.815 0.815 0.866
3 Ag 0.217 0.783 0.500
4 Ag 0.500 0.500 0.000
5 Ag 0.783 0.217 0.500
6 Br 0.118 0.633 0.748
7 Br 0.142 0.142 0.777
8 Br 0.367 0.882 0.252
9 Br 0.375 0.375 0.263
10 Br 0.625 0.625 0.737
11 Br 0.633 0.118 0.748
12 Br 0.858 0.858 0.223
13 Br 0.882 0.367 0.252

Top 8 peaks for 10° ≤ 2θ ≤ 80°, in order of rising 2θ:
- 23.47 deg, I 31.5
- 25.50 deg, I 41.1
- 31.11 deg, I 100.0
- 31.98 deg, I 50.0
- 44.19 deg, I 27.7
- 44.53 deg, I 59.0
- 44.96 deg, I 28.0
- 45.91 deg, I 53.4



5.
Ba2Al: theoretical powder XRD pattern (Cu Ka), based on a PBE-relaxed structure.
No peak broadening, texture or thermal motion is included.

Crystal structure
Unit cell a=9.404 b=9.404 c=7.089 alpha=101.74 beta=101.74 gamma=28.42
Element x y z (fractional)
1 Ba 0.089 0.089 0.293
2 Ba 0.341 0.341 0.180
3 Ba 0.659 0.659 0.820
4 Ba 0.911 0.911 0.707
5 Al 0.264 0.264 0.608
6 Al 0.736 0.736 0.392

Top 8 peaks for 10° ≤ 2θ ≤ 80°, in order of rising 2θ:
- 19.92 deg, I 41.1
- 21.32 deg, I 35.2
- 24.26 deg, I 100.0
- 24.42 deg, I 35.2
- 25.71 deg, I 36.2
- 25.94 deg, I 47.6
- 26.11 deg, I 87.2
- 29.12 deg, I 35.0



6.
Na4Np3GaN8: theoretical powder XRD pattern (Cu Ka), based on a PBE-relaxed structure.
No peak broadening, texture or thermal motion is included.

Crystal structure
Unit cell a=6.856 b=6.856 c=6.822 alpha=119.12 beta=119.12 gamma=57.57
Element x y z (fractional)
1 Na 0.000 0.000 0.000
2 Na 0.000 0.500 0.000
3 Na 0.500 0.000 0.000
4 Na 0.500 0.500 0.000
5 Np 0.000 0.000 0.500
6 Np 0.000 0.500 0.500
7 Np 0.500 0.000 0.500
8 Ga 0.500 0.500 0.500
9 N 0.226 0.724 0.681
10 N 0.227 0.227 0.684
11 N 0.247 0.247 0.298
12 N 0.276 0.774 0.319
13 N 0.724 0.226 0.681
14 N 0.753 0.753 0.702
15 N 0.773 0.773 0.316
16 N 0.774 0.276 0.319

Top 8 peaks for 10° ≤ 2θ ≤ 80°, in order of rising 2θ:
- 15.62 deg, I 100.0
- 30.03 deg, I 20.0
- 31.50 deg, I 54.1
- 31.99 deg, I 20.7
- 32.51 deg, I 39.3
- 35.94 deg, I 24.1
- 37.93 deg, I 41.3
- 40.55 deg, I 15.5



7.
TcMoOs4: theoretical powder XRD pattern (Cu Ka), based on a PBE-relaxed structure.
No peak broadening, texture or thermal motion is included.

Crystal structure
Unit cell a=4.390 b=4.390 c=5.384 alpha=90.00 beta=90.00 gamma=120.00
Element x y z (fractional)
1 Tc 0.000 0.000 0.000
2 Mo 0.000 0.000 0.500
3 Os 0.333 0.667 0.127
4 Os 0.333 0.667 0.631
5 Os 0.667 0.333 0.369
6 Os 0.667 0.333 0.873

Top 8 peaks for 10° ≤ 2θ ≤ 80°, in order of rising 2θ:
- 23.40 deg, I 6.8
- 41.10 deg, I 100.0
- 47.85 deg, I 1.1
- 53.90 deg, I 1.2
- 59.54 deg, I 17.3
- 69.89 deg, I 1.2
- 74.89 deg, I 23.9
- 74.94 deg, I 8.5